Entry 1:
Computed powder X-ray diffraction pattern of CaPrTm2In4 for a wavelength of 1.5418 Å, from a cell relaxed with PBE.
Lines closer than 0.1° are merged.

Cell and atoms:
Cell: 9.3530 9.3530 9.3530 Å, 33.30 33.30 33.30°
Positions (direct):
1 Ca 0.0000 0.0000 0.0000
2 Pr 0.5000 0.5000 0.5000
3 Tm 0.2515 0.2515 0.2515
4 Tm 0.7485 0.7485 0.7485
5 In 0.1241 0.1241 0.1241
6 In 0.3740 0.3740 0.3740
7 In 0.6260 0.6260 0.6260
8 In 0.8759 0.8759 0.8759

The 12 most intense peaks (10° ≤ 2θ ≤ 90°), sorted by position:
two_theta  I (rel.)
20.27  8
33.25  100
33.44  99
47.87  36
59.28  18
59.65  36
59.77  18
69.80  11
70.24  11
79.64  16
79.96  15
89.49  6

=====

Entry 2:
Computed powder X-ray diffraction pattern of Nb5Ru2W for a wavelength of 1.5418 Å, from a cell relaxed with PBE.
Lines closer than 0.1° are merged.

Cell and atoms:
Cell: 6.4570 6.4570 6.4322 Å, 90.00 90.00 90.00°
Positions (direct):
1 Nb 0.0000 0.0000 0.0000
2 Nb 0.2500 0.2500 0.2500
3 Nb 0.2500 0.2500 0.7500
4 Nb 0.2500 0.7500 0.2500
5 Nb 0.2500 0.7500 0.7500
6 Nb 0.5000 0.5000 0.5000
7 Nb 0.7500 0.2500 0.2500
8 Nb 0.7500 0.2500 0.7500
9 Nb 0.7500 0.7500 0.2500
10 Nb 0.7500 0.7500 0.7500
11 Ru 0.0000 0.5000 0.0000
12 Ru 0.0000 0.5000 0.5000
13 Ru 0.5000 0.0000 0.0000
14 Ru 0.5000 0.0000 0.5000
15 W 0.0000 0.0000 0.5000
16 W 0.5000 0.5000 0.0000

The 12 most intense peaks (10° ≤ 2θ ≤ 90°), sorted by position:
two_theta  I (rel.)
19.47  5
27.63  1
34.05  3
39.53  100
44.38  1
53.10  1
57.05  11
57.29  6
71.65  22
71.81  11
84.97  4
85.17  7

=====

Entry 3:
Computed powder X-ray diffraction pattern of Ca2Sn5Hg for a wavelength of 1.5418 Å, from a cell relaxed with PBE.
Lines closer than 0.1° are merged.

Cell and atoms:
Cell: 6.8958 13.5066 4.6010 Å, 90.00 90.00 90.00°
Positions (direct):
1 Ca 0.2458 0.1229 0.0000
2 Ca 0.2542 0.6229 0.0000
3 Ca 0.7458 0.3771 0.0000
4 Ca 0.7542 0.8771 0.0000
5 Sn 0.0000 0.5000 0.5000
6 Sn 0.0085 0.2534 0.5000
7 Sn 0.2478 0.3742 0.0000
8 Sn 0.2522 0.8742 0.0000
9 Sn 0.4915 0.7534 0.5000
10 Sn 0.5000 0.0000 0.5000
11 Sn 0.5085 0.2466 0.5000
12 Sn 0.7478 0.1258 0.0000
13 Sn 0.7522 0.6258 0.0000
14 Sn 0.9915 0.7466 0.5000
15 Hg 0.0000 0.0000 0.5000
16 Hg 0.5000 0.5000 0.5000

The 12 most intense peaks (10° ≤ 2θ ≤ 90°), sorted by position:
two_theta  I (rel.)
19.29  12
32.45  100
32.90  97
37.27  69
39.16  30
53.13  13
55.17  45
63.92  29
64.73  28
66.75  13
67.02  13
67.95  12